Entry 1:
Calculated powder diffractogram of Sc12Co5Bi for Cu Kα, from a PBE-relaxed structure.
Kinematic intensities with the Lorentz-polarization factor, no thermal factor.

Lattice parameters (Å, degrees): 8.726 8.756 9.270 90.00 90.00 90.00
Space group Immm (No. 71)
Asymmetric unit:
Sc 0.000 0.196 0.220 [8 per cell]
Sc 0.190 0.500 0.181 [8 per cell]
Sc 0.223 0.319 0.500 [8 per cell]
Co 0.000 0.000 0.000 [2 per cell]
Co 0.000 0.348 0.000 [4 per cell]
Co 0.000 0.500 0.381 [4 per cell]
Bi 0.000 0.000 0.500 [2 per cell]

Main lines, sorted by position (10 to 80 degrees two-theta):
- (0 0 2), 4.635 Å, rel. 31
- (2 0 0), 4.368 Å, rel. 72
- (1 2 1), 3.604 Å, rel. 63
- (2 2 2), 2.571 Å, rel. 100
- (2 1 3), 2.423 Å, rel. 75
- (1 3 2), 2.376 Å, rel. 91
- (3 2 1), 2.345 Å, rel. 60
- (4 0 0), 2.181 Å, rel. 35
- (1 3 4), 1.776 Å, rel. 35
- (5 3 2), 1.425 Å, rel. 27

=====

Entry 2:
Calculated powder diffractogram of PuU2PaS4 for Cu Kα, from a PBE-relaxed structure.
Kinematic intensities with the Lorentz-polarization factor, no thermal factor.

Lattice parameters (Å, degrees): 7.751 7.819 11.021 90.00 90.00 90.00
Space group Fmmm (No. 69)
Asymmetric unit:
Pu 0.000 0.000 0.000 [4 per cell]
U 0.250 0.250 0.250 [8 per cell]
Pa 0.000 0.000 0.500 [4 per cell]
S 0.000 0.000 0.250 [8 per cell]
S 0.250 0.250 0.000 [8 per cell]

Main lines, sorted by position (10 to 80 degrees two-theta):
- (0 2 2), 3.189 Å, rel. 53
- (2 0 2), 3.170 Å, rel. 53
- (2 2 0), 2.753 Å, rel. 100
- (0 4 0), 1.955 Å, rel. 12
- (2 2 4), 1.947 Å, rel. 49
- (2 4 2), 1.663 Å, rel. 27
- (4 2 2), 1.656 Å, rel. 17
- (0 4 4), 1.594 Å, rel. 13
- (4 0 4), 1.585 Å, rel. 13
- (4 4 4), 1.232 Å, rel. 23

=====

Entry 3:
Calculated powder diffractogram of ScCr4Si for Cu Kα, from a PBE-relaxed structure.
Kinematic intensities with the Lorentz-polarization factor, no thermal factor.

Lattice parameters (Å, degrees): 6.847 6.847 6.847 90.00 90.00 90.00
Space group F-43m (No. 216)
Asymmetric unit:
Sc 0.000 0.000 0.000 [4 per cell]
Cr 0.124 0.124 0.376 [16 per cell]
Si 0.250 0.250 0.750 [4 per cell]

Main lines, sorted by position (10 to 80 degrees two-theta):
- (1 1 1), 3.953 Å, rel. 27
- (2 0 0), 3.424 Å, rel. 1
- (2 2 0), 2.421 Å, rel. 17
- (3 1 1), 2.065 Å, rel. 100
- (2 2 2), 1.977 Å, rel. 52
- (4 0 0), 1.712 Å, rel. 10
- (3 3 1), 1.571 Å, rel. 5
- (4 2 2), 1.398 Å, rel. 6
- (5 1 1), 1.318 Å, rel. 27
- (4 4 0), 1.210 Å, rel. 24

=====

Entry 4:
Calculated powder diffractogram of Cs2Na5Hg for Cu Kα, from a PBE-relaxed structure.
Kinematic intensities with the Lorentz-polarization factor, no thermal factor.

Lattice parameters (Å, degrees): 8.585 11.668 15.808 90.00 90.00 90.00
Space group Fmm2 (No. 42)
Asymmetric unit:
Cs 0.250 0.250 0.000 [8 per cell]
Na 0.000 0.000 0.127 [4 per cell]
Na 0.000 0.243 0.743 [8 per cell]
Na 0.231 0.000 0.793 [8 per cell]
Hg 0.000 0.000 0.625 [4 per cell]

Main lines, sorted by position (10 to 80 degrees two-theta):
- (0 0 2), 7.904 Å, rel. 77
- (1 1 1), 6.335 Å, rel. 87
- (0 2 2), 4.694 Å, rel. 74
- (2 0 2), 3.772 Å, rel. 59
- (2 2 0), 3.457 Å, rel. 72
- (0 2 4), 3.272 Å, rel. 78
- (2 2 2), 3.168 Å, rel. 100
- (0 4 0), 2.917 Å, rel. 38
- (2 0 4), 2.907 Å, rel. 47
- (2 4 4), 2.059 Å, rel. 35

=====

Entry 5:
Calculated powder diffractogram of K2FeOs for Cu Kα, from a PBE-relaxed structure.
Kinematic intensities with the Lorentz-polarization factor, no thermal factor.

Lattice parameters (Å, degrees): 6.810 3.931 10.020 90.00 102.93 90.00
Space group Cm (No. 8)
Asymmetric unit:
K 0.000 0.000 0.000 [2 per cell]
K 0.174 0.000 0.528 [2 per cell]
Fe 0.419 0.000 0.261 [2 per cell]
Os 0.254 0.500 0.266 [2 per cell]

Main lines, sorted by position (10 to 80 degrees two-theta):
- (0 0 2), 4.883 Å, rel. 56
- (2 0 -1), 3.382 Å, rel. 38
- (1 1 -1), 3.316 Å, rel. 49
- (0 0 3), 3.255 Å, rel. 58
- (2 0 -2), 3.087 Å, rel. 86
- (1 1 -2), 2.944 Å, rel. 100
- (1 1 2), 2.641 Å, rel. 61
- (2 0 2), 2.494 Å, rel. 42
- (0 2 0), 1.966 Å, rel. 61
- (3 1 0), 1.927 Å, rel. 63

=====

Entry 6:
Calculated powder diffractogram of TbYPa for Cu Kα, from a PBE-relaxed structure.
Kinematic intensities with the Lorentz-polarization factor, no thermal factor.

Lattice parameters (Å, degrees): 3.346 20.688 5.162 90.00 90.00 90.00
Space group Cmcm (No. 63)
Asymmetric unit:
Tb 0.000 0.208 0.250 [4 per cell]
Y 0.000 0.383 0.250 [4 per cell]
Pa 0.000 0.032 0.250 [4 per cell]

Main lines, sorted by position (10 to 80 degrees two-theta):
- (0 4 0), 5.172 Å, rel. 21
- (1 1 0), 3.303 Å, rel. 26
- (0 6 1), 2.867 Å, rel. 100
- (1 1 1), 2.782 Å, rel. 59
- (1 5 0), 2.601 Å, rel. 52
- (0 0 2), 2.581 Å, rel. 41
- (1 1 2), 2.034 Å, rel. 27
- (1 5 2), 1.832 Å, rel. 33
- (1 11 1), 1.563 Å, rel. 29
- (2 6 1), 1.445 Å, rel. 25

=====

- What is the formula in the fifth record?
  K2FeOs